# 1
Li2Nd3S2O4: theoretical powder X-ray diffraction pattern (Cu Kα (weighted mean of Kα1 and Kα2)), based on a crystal structure in Alexandria, relaxed with GGA-PBE.
Lines closer than 0.1° are merged.

Main lines, by angle (2θ = 10–80°):
| Position (°2θ) | intensity |
| --- | --- |
| 23.0 | 100 |
| 25.5 | 29 |
| 32.2 | 54 |
| 37.7 | 77 |
| 41.5 | 60 |
| 46.2 | 32 |
| 52.3 | 26 |
| 61.2 | 37 |

Atomic structure:
a b c (Å): 10.858 10.858 10.858
angles (deg): 159.17 159.17 29.63
Atoms (fractional coordinates):
Li  0.083  0.083  0.000
Li  0.917  0.917  0.000
Nd  0.346  0.346  0.000
Nd  0.500  0.500  0.000
Nd  0.654  0.654  0.000
S  0.203  0.203  0.000
S  0.797  0.797  0.000
O  0.075  0.575  0.500
O  0.425  0.925  0.500
O  0.575  0.075  0.500
O  0.925  0.425  0.500

***

# 2
Pa2PRu6C: theoretical powder X-ray diffraction pattern (Cu Kα (weighted mean of Kα1 and Kα2)), based on a crystal structure in Alexandria, relaxed with GGA-PBE.
Lines closer than 0.1° are merged.

Main lines, by angle (2θ = 10–80°):
| Position (°2θ) | intensity |
| --- | --- |
| 29.4 | 14 |
| 36.1 | 100 |
| 41.7 | 40 |
| 42.5 | 18 |
| 60.5 | 13 |
| 61.0 | 24 |
| 72.5 | 26 |
| 76.7 | 12 |

Atomic structure:
a b c (Å): 4.329 4.329 8.517
angles (deg): 90.00 90.00 90.00
Atoms (fractional coordinates):
Pa  0.000  0.000  0.241
Pa  0.000  0.000  0.759
P  0.500  0.500  0.500
Ru  0.000  0.500  0.000
Ru  0.000  0.500  0.500
Ru  0.500  0.000  0.000
Ru  0.500  0.000  0.500
Ru  0.500  0.500  0.232
Ru  0.500  0.500  0.768
C  0.500  0.500  0.000

***

# 3
Y3PtSe2: theoretical powder X-ray diffraction pattern (Cu Kα (weighted mean of Kα1 and Kα2)), based on a crystal structure in Alexandria, relaxed with GGA-PBE.
Lines closer than 0.1° are merged.

Main lines, by angle (2θ = 10–80°):
| Position (°2θ) | intensity |
| --- | --- |
| 13.5 | 15 |
| 30.6 | 100 |
| 43.1 | 13 |
| 43.9 | 49 |
| 44.7 | 12 |
| 53.8 | 13 |
| 55.2 | 13 |
| 72.4 | 11 |

Atomic structure:
a b c (Å): 13.497 12.878 7.185
angles (deg): 79.00 69.49 31.50
Atoms (fractional coordinates):
Y  0.037  0.540  0.197
Y  0.112  0.638  0.638
Y  0.197  0.726  0.037
Y  0.274  0.803  0.460
Y  0.362  0.888  0.888
Y  0.460  0.963  0.274
Y  0.540  0.037  0.726
Y  0.638  0.112  0.112
Y  0.726  0.197  0.540
Y  0.803  0.274  0.963
Y  0.888  0.362  0.362
Y  0.963  0.460  0.803
Pt  0.042  0.042  0.208
Pt  0.208  0.208  0.042
Pt  0.792  0.792  0.958
Pt  0.958  0.958  0.792
Se  0.127  0.127  0.623
Se  0.295  0.295  0.455
Se  0.377  0.377  0.873
Se  0.455  0.455  0.295
Se  0.545  0.545  0.705
Se  0.623  0.623  0.127
Se  0.705  0.705  0.545
Se  0.873  0.873  0.377

***

# 4
ZnH4Rh4: theoretical powder X-ray diffraction pattern (Cu Kα (weighted mean of Kα1 and Kα2)), based on a crystal structure in Alexandria, relaxed with GGA-PBE.
Lines closer than 0.1° are merged.

Main lines, by angle (2θ = 10–80°):
| Position (°2θ) | intensity |
| --- | --- |
| 34.8 | 54 |
| 36.2 | 45 |
| 38.9 | 40 |
| 39.2 | 100 |
| 39.6 | 79 |
| 40.4 | 70 |
| 41.1 | 75 |
| 44.4 | 56 |

Atomic structure:
a b c (Å): 2.895 4.444 7.090
angles (deg): 107.75 94.04 99.05
Atoms (fractional coordinates):
Zn  0.000  0.000  0.000
H  0.217  0.587  0.614
H  0.342  0.778  0.286
H  0.658  0.222  0.714
H  0.783  0.413  0.386
Rh  0.238  0.454  0.827
Rh  0.242  0.177  0.399
Rh  0.758  0.823  0.601
Rh  0.762  0.546  0.173